No. 1
Calculated PXRD pattern of Ta2MnCr for Cu Ka, from the GGA-PBE geometry in Alexandria.
No peak broadening, texture or thermal motion is included.

Structural model:
```
data_Ta2MnCr
_symmetry_space_group_name_H-M 'P 1 m 1'
_symmetry_Int_Tables_number 6
_symmetry_space_group_name_Hall 'P -2y'
_cell_length_a 2.809
_cell_length_b 4.297
_cell_length_c 5.010
_cell_angle_alpha 90.00
_cell_angle_beta 101.24
_cell_angle_gamma 90.00
loop_
_atom_site_label
_atom_site_fract_x
_atom_site_fract_y
_atom_site_fract_z
Ta1 0.000 0.000 0.000
Ta2 0.275 0.500 0.714
Mn1 0.517 0.000 0.484
Cr1 0.755 0.500 0.229
```

Peak list (10 most intense, 10° ≤ 2θ ≤ 90°, in order of falling intensity)
- 2θ 40.18, 2.245 Å, intensity 100.0, hkl 1 1 -1
- 2θ 42.38, 2.133 Å, intensity 84.9, hkl 0 1 2
- 2θ 27.58, 3.235 Å, intensity 50.3, hkl 0 1 1
- 2θ 40.54, 2.225 Å, intensity 50.1, hkl 1 0 1
- 2θ 42.06, 2.148 Å, intensity 45.2, hkl 0 2 0
- 2θ 59.83, 1.546 Å, intensity 45.0, hkl 1 2 1
- 2θ 18.05, 4.913 Å, intensity 35.7, hkl 0 0 1
- 2θ 38.82, 2.320 Å, intensity 20.3, hkl 1 1 0
- 2θ 71.98, 1.312 Å, intensity 17.6, hkl 2 1 0
- 2θ 75.58, 1.258 Å, intensity 16.4, hkl 1 3 -1

No. 2
Calculated PXRD pattern of Mn2CrTc for Cu Ka, from the GGA-PBE geometry in Alexandria.
No peak broadening, texture or thermal motion is included.

Structural model:
```
data_Mn2CrTc
_symmetry_space_group_name_H-M 'C m m m'
_symmetry_Int_Tables_number 65
_symmetry_space_group_name_Hall '-C 2 2'
_cell_length_a 3.057
_cell_length_b 4.106
_cell_length_c 7.947
_cell_angle_alpha 90.00
_cell_angle_beta 90.00
_cell_angle_gamma 90.00
loop_
_atom_site_label
_atom_site_fract_x
_atom_site_fract_y
_atom_site_fract_z
Mn1 0.000 0.000 0.238
Cr1 0.000 0.500 0.000
Tc1 0.000 0.500 0.500
```

Peak list (10 most intense, 10° ≤ 2θ ≤ 90°, in order of falling intensity)
- 2θ 43.36, 2.087 Å, intensity 100.0, hkl 1 1 2
- 2θ 44.11, 2.053 Å, intensity 24.0, hkl 0 2 0
- 2θ 45.66, 1.987 Å, intensity 21.6, hkl 0 0 4
- 2θ 80.62, 1.192 Å, intensity 14.3, hkl 1 3 2
- 2θ 11.13, 7.947 Å, intensity 13.7, hkl 0 0 1
- 2θ 65.36, 1.428 Å, intensity 13.5, hkl 0 2 4
- 2θ 82.83, 1.165 Å, intensity 12.3, hkl 1 1 6
- 2θ 60.57, 1.529 Å, intensity 8.7, hkl 2 0 0
- 2θ 77.91, 1.226 Å, intensity 7.9, hkl 2 2 0
- 2θ 79.03, 1.212 Å, intensity 7.8, hkl 2 0 4

No. 3
Calculated PXRD pattern of TiMnCrTc for Cu Ka, from the GGA-PBE geometry in Alexandria.
No peak broadening, texture or thermal motion is included.

Structural model:
```
data_TiMnCrTc
_symmetry_space_group_name_H-M 'P 4 m m'
_symmetry_Int_Tables_number 99
_symmetry_space_group_name_Hall 'P 4 -2'
_cell_length_a 2.964
_cell_length_b 2.964
_cell_length_c 5.987
_cell_angle_alpha 90.00
_cell_angle_beta 90.00
_cell_angle_gamma 90.00
loop_
_atom_site_label
_atom_site_fract_x
_atom_site_fract_y
_atom_site_fract_z
Ti1 0.000 0.000 0.000
Mn1 0.500 0.500 0.249
Cr1 0.000 0.000 0.481
Tc1 0.500 0.500 0.724
```

Peak list (10 most intense, 10° ≤ 2θ ≤ 90°, in order of falling intensity)
- 2θ 42.94, 2.106 Å, intensity 100.0, hkl 1 0 2
- 2θ 43.17, 2.096 Å, intensity 50.3, hkl 1 1 0
- 2θ 79.01, 1.212 Å, intensity 29.3, hkl 2 1 2
- 2θ 62.70, 1.482 Å, intensity 15.3, hkl 2 0 0
- 2θ 78.53, 1.218 Å, intensity 13.9, hkl 1 1 4
- 2θ 14.80, 5.987 Å, intensity 10.1, hkl 0 0 1
- 2θ 33.75, 2.656 Å, intensity 7.9, hkl 1 0 1
- 2θ 62.00, 1.497 Å, intensity 7.3, hkl 0 0 4
- 2θ 30.16, 2.964 Å, intensity 6.3, hkl 1 0 0
- 2θ 29.85, 2.994 Å, intensity 3.2, hkl 0 0 2

No. 4
Calculated PXRD pattern of Mn2CrTe4 for Cu Ka, from the GGA-PBE geometry in Alexandria.
No peak broadening, texture or thermal motion is included.

Structural model:
```
data_Mn2CrTe4
_symmetry_space_group_name_H-M 'I m m a'
_symmetry_Int_Tables_number 74
_symmetry_space_group_name_Hall '-I 2b 2'
_cell_length_a 7.925
_cell_length_b 8.086
_cell_length_c 11.212
_cell_angle_alpha 90.00
_cell_angle_beta 90.00
_cell_angle_gamma 90.00
loop_
_atom_site_label
_atom_site_fract_x
_atom_site_fract_y
_atom_site_fract_z
Mn1 0.000 0.000 0.000
Mn2 0.250 0.250 0.250
Cr1 0.000 0.000 0.500
Te1 0.000 0.013 0.251
Te2 0.246 0.250 0.498
```

Peak list (10 most intense, 10° ≤ 2θ ≤ 90°, in order of falling intensity)
- 2θ 31.62, 2.830 Å, intensity 100.0, hkl 2 2 0
- 2θ 45.55, 1.991 Å, intensity 70.9, hkl 2 2 4
- 2θ 31.93, 2.803 Å, intensity 49.2, hkl 0 0 4
- 2θ 27.19, 3.279 Å, intensity 35.5, hkl 0 2 2
- 2θ 27.57, 3.236 Å, intensity 35.0, hkl 2 0 2
- 2θ 75.74, 1.256 Å, intensity 22.3, hkl 2 2 8
- 2θ 56.09, 1.640 Å, intensity 18.1, hkl 0 4 4
- 2θ 56.91, 1.618 Å, intensity 18.0, hkl 4 0 4
- 2θ 44.83, 2.022 Å, intensity 18.0, hkl 0 4 0
- 2θ 45.80, 1.981 Å, intensity 17.6, hkl 4 0 0